Structure and theoretical X-ray powder pattern of Ba2PdCl (a structure optimized by DFT (PBE); Cu Ka).
Kinematic intensities with the Lorentz-polarization factor, no thermal factor.

Top 10 peaks for 5° ≤ 2θ ≤ 70°, in order of falling intensity:
2θ = 29.07°, I 100; 2θ = 40.12°, I 46; 2θ = 23.94°, I 42; 2θ = 34.06°, I 35; 2θ = 10.61°, I 31; 2θ = 42.98°, I 25; 2θ = 50.30°, I 21; 2θ = 60.59°, I 19; 2θ = 66.20°, I 18; 2θ = 23.12°, I 11

Atomic structure:
a b c (Å): 4.495 4.495 25.010
angles (deg): 90.00 90.00 120.00
Positions (direct):
Ba: 0.000 0.000 0.000
Ba: 0.000 0.000 0.186
Ba: 0.333 0.667 0.667
Ba: 0.333 0.667 0.852
Ba: 0.667 0.333 0.333
Ba: 0.667 0.333 0.519
Pd: 0.000 0.000 0.593
Pd: 0.333 0.667 0.260
Pd: 0.667 0.333 0.926
Cl: 0.000 0.000 0.424
Cl: 0.333 0.667 0.091
Cl: 0.667 0.333 0.758

Structure and theoretical X-ray powder pattern of Rb2BaPmCl8 (a structure optimized by DFT (PBE); Cu Ka).
Kinematic intensities with the Lorentz-polarization factor, no thermal factor.

Top 10 peaks for 5° ≤ 2θ ≤ 70°, in order of falling intensity:
2θ = 21.04°, I 100; 2θ = 20.84°, I 100; 2θ = 33.29°, I 74; 2θ = 34.30°, I 68; 2θ = 36.17°, I 32; 2θ = 35.68°, I 30; 2θ = 11.03°, I 30; 2θ = 38.11°, I 22; 2θ = 38.23°, I 20; 2θ = 41.27°, I 17

Atomic structure:
a b c (Å): 4.973 8.021 10.078
angles (deg): 90.00 92.94 90.00
Positions (direct):
Rb: 0.005 0.000 0.248
Rb: 0.995 0.000 0.752
Ba: 0.500 0.500 0.500
Pm: 0.500 0.500 0.000
Cl: 0.000 0.262 0.500
Cl: 0.000 0.300 0.000
Cl: 0.000 0.700 0.000
Cl: 0.000 0.738 0.500
Cl: 0.497 0.285 0.779
Cl: 0.497 0.715 0.779
Cl: 0.503 0.285 0.221
Cl: 0.503 0.715 0.221

Structure and theoretical X-ray powder pattern of Ba3PtCl3 (a structure optimized by DFT (PBE); Cu Ka).
Kinematic intensities with the Lorentz-polarization factor, no thermal factor.

Top 10 peaks for 5° ≤ 2θ ≤ 70°, in order of falling intensity:
2θ = 9.61°, I 100; 2θ = 27.42°, I 99; 2θ = 39.17°, I 75; 2θ = 64.01°, I 34; 2θ = 35.17°, I 28; 2θ = 48.47°, I 26; 2θ = 21.60°, I 26; 2θ = 29.12°, I 21; 2θ = 49.54°, I 13; 2θ = 56.59°, I 12

Atomic structure:
a b c (Å): 11.268 11.268 11.268
angles (deg): 109.47 109.47 109.47
Positions (direct):
Ba: 0.003 0.006 0.253
Ba: 0.003 0.497 0.750
Ba: 0.006 0.253 0.003
Ba: 0.247 0.253 0.750
Ba: 0.247 0.494 0.497
Ba: 0.253 0.003 0.006
Ba: 0.253 0.750 0.247
Ba: 0.494 0.497 0.247
Ba: 0.497 0.247 0.494
Ba: 0.497 0.750 0.003
Ba: 0.750 0.003 0.497
Ba: 0.750 0.247 0.253
Pt: 0.000 0.250 0.500
Pt: 0.250 0.250 0.250
Pt: 0.250 0.500 0.000
Pt: 0.500 0.000 0.250
Cl: 0.008 0.016 0.758
Cl: 0.008 0.492 0.250
Cl: 0.016 0.758 0.008
Cl: 0.250 0.008 0.492
Cl: 0.250 0.742 0.758
Cl: 0.484 0.492 0.742
Cl: 0.492 0.250 0.008
Cl: 0.492 0.742 0.484
Cl: 0.742 0.484 0.492
Cl: 0.742 0.758 0.250
Cl: 0.758 0.008 0.016
Cl: 0.758 0.250 0.742

Structure and theoretical X-ray powder pattern of BaTl2PtCl8 (a structure optimized by DFT (PBE); Cu Ka).
Kinematic intensities with the Lorentz-polarization factor, no thermal factor.

Top 10 peaks for 5° ≤ 2θ ≤ 70°, in order of falling intensity:
2θ = 25.89°, I 100; 2θ = 26.13°, I 73; 2θ = 37.11°, I 61; 2θ = 18.31°, I 53; 2θ = 31.89°, I 49; 2θ = 10.64°, I 37; 2θ = 45.80°, I 35; 2θ = 53.23°, I 25; 2θ = 45.66°, I 22; 2θ = 53.75°, I 20

Atomic structure:
a b c (Å): 6.883 6.883 8.318
angles (deg): 90.00 90.00 120.00
Positions (direct):
Ba: 0.000 0.000 0.000
Tl: 0.333 0.667 0.329
Tl: 0.667 0.333 0.671
Pt: 0.000 0.000 0.500
Cl: 0.157 0.313 0.674
Cl: 0.157 0.843 0.674
Cl: 0.313 0.157 0.326
Cl: 0.333 0.667 0.991
Cl: 0.667 0.333 0.009
Cl: 0.687 0.843 0.674
Cl: 0.843 0.157 0.326
Cl: 0.843 0.687 0.326